Record 1
Structure and simulated PXRD pattern of Fe3Ir4Ru (DFT lattice parameters and positions (PBE); Cu Kα X-rays).

Peak list (12 most intense, 2θ = 10–90°, most intense first)
2θ 44.17, rel. 100, hkl 2 2 1; 2θ 41.76, rel. 48, hkl 4 0 0; 2θ 44.61, rel. 42, hkl 2 0 2; 2θ 40.10, rel. 35, hkl 1 2 1; 2θ 28.32, rel. 33, hkl 2 0 1; 2θ 85.55, rel. 24, hkl 4 2 3; 2θ 21.88, rel. 21, hkl 1 0 1; 2θ 70.64, rel. 20, hkl 0 2 3; 2θ 40.58, rel. 20, hkl 1 0 2; 2θ 33.18, rel. 19, hkl 0 2 0; 2θ 77.92, rel. 19, hkl 6 2 1; 2θ 50.36, rel. 18, hkl 3 2 1

Atomic structure:
Cell: 8.6523 5.4000 4.6008 Å, 90.00 90.00 90.00°
Space group Pmma (No. 51)
Unique sites:
Fe  0.0000  0.0000  0.0000 (multiplicity 2)
Fe  0.2500  0.0000  0.3332 (multiplicity 2)
Fe  0.2500  0.5000  0.3339 (multiplicity 2)
Ir  0.0000  0.2490  0.5000 (multiplicity 4)
Ir  0.2500  0.2446  0.8423 (multiplicity 4)
Ru  0.0000  0.5000  0.0000 (multiplicity 2)



Record 2
Structure and simulated PXRD pattern of FeIr3Ru4 (DFT lattice parameters and positions (PBE); Cu Kα X-rays).

Peak list (12 most intense, 2θ = 10–90°, most intense first)
2θ 43.71, rel. 100, hkl 2 2 1; 2θ 41.77, rel. 27, hkl 4 0 0; 2θ 38.14, rel. 26, hkl 0 0 2; 2θ 83.96, rel. 20, hkl 4 4 0; 2θ 77.62, rel. 18, hkl 6 2 1; 2θ 68.94, rel. 17, hkl 0 4 0; 2θ 57.84, rel. 15, hkl 4 0 2; 2θ 85.28, rel. 15, hkl 2 0 4; 2θ 26.31, rel. 7, hkl 2 1 0; 2θ 24.96, rel. 6, hkl 0 1 1; 2θ 81.62, rel. 3, hkl 0 4 2; 2θ 19.25, rel. 3, hkl 1 1 0

Atomic structure:
Cell: 8.6491 5.4490 4.7181 Å, 90.00 90.00 90.00°
Space group Pmn2_1 (No. 31)
Unique sites:
Fe  0.0000  0.1266  0.0000 (multiplicity 2)
Ir  0.0000  0.6241  0.9972 (multiplicity 2)
Ir  0.2500  0.1239  0.6662 (multiplicity 4)
Ru  0.0000  0.3757  0.5008 (multiplicity 2)
Ru  0.0000  0.8763  0.5008 (multiplicity 2)
Ru  0.2496  0.3730  0.1645 (multiplicity 4)



Record 3
Structure and simulated PXRD pattern of Fe6Ir16Ru7 (DFT lattice parameters and positions (PBE); Cu Kα X-rays).

Peak list (12 most intense, 2θ = 10–90°, most intense first)
2θ 42.11, rel. 100, hkl 4 4 0; 2θ 29.43, rel. 30, hkl 4 0 0; 2θ 76.96, rel. 24, hkl 8 4 4; 2θ 61.07, rel. 14, hkl 8 0 0; 2θ 38.54, rel. 7, hkl 3 3 3; 2θ 14.59, rel. 7, hkl 2 0 0; 2θ 52.21, rel. 7, hkl 4 4 4; 2θ 69.23, rel. 6, hkl 8 4 0; 2θ 86.32, rel. 6, hkl 10 4 0; 2θ 54.51, rel. 6, hkl 6 4 0; 2θ 44.80, rel. 6, hkl 6 0 0; 2θ 44.14, rel. 4, hkl 5 3 1

Atomic structure:
Cell: 12.1388 12.1388 12.1388 Å, 90.00 90.00 90.00°
Space group Fm-3m (No. 225)
Unique sites:
Fe  0.0000  0.0000  0.2243 (multiplicity 24)
Ir  0.1270  0.1270  0.3730 (multiplicity 32)
Ir  0.1438  0.1438  0.1438 (multiplicity 32)
Ru  0.0000  0.0000  0.5000 (multiplicity 4)
Ru  0.0000  0.2500  0.2500 (multiplicity 24)



Record 4
Structure and simulated PXRD pattern of Fe2Ir6Ru (DFT lattice parameters and positions (PBE); Cu Kα X-rays).

Peak list (12 most intense, 2θ = 10–90°, most intense first)
2θ 42.66, rel. 100, hkl 1 2 2; 2θ 45.03, rel. 89, hkl 1 2 -1; 2θ 41.26, rel. 77, hkl 0 0 3; 2θ 38.67, rel. 61, hkl 2 1 0; 2θ 42.82, rel. 51, hkl 2 1 -1; 2θ 44.92, rel. 48, hkl 2 1 2; 2θ 69.39, rel. 33, hkl 3 0 0; 2θ 83.92, rel. 20, hkl 3 3 4; 2θ 84.03, rel. 20, hkl 0 3 4; 2θ 22.38, rel. 19, hkl 1 1 0; 2θ 74.49, rel. 18, hkl 1 2 5; 2θ 25.83, rel. 18, hkl 1 0 -1

Atomic structure:
Cell: 4.6862 4.6884 6.7523 Å, 76.43 83.11 60.09°
Space group P-1 (No. 2)
Unique sites:
Fe  0.1674  0.4442  0.1644 (multiplicity 2)
Ir  0.1651  0.8844  0.8356 (multiplicity 2)
Ir  0.1657  0.6624  0.5033 (multiplicity 2)
Ir  0.4980  0.2237  0.8358 (multiplicity 2)
Ru  0.5000  0.0000  0.5000 (multiplicity 1)



Record 5
Structure and simulated PXRD pattern of TaFeIrRu (DFT lattice parameters and positions (PBE); Cu Kα X-rays).

Peak list (12 most intense, 2θ = 10–90°, most intense first)
2θ 40.51, rel. 100, hkl 1 1 1; 2θ 46.08, rel. 17, hkl 0 0 2; 2θ 46.80, rel. 17, hkl 0 2 0; 2θ 22.90, rel. 16, hkl 0 1 0; 2θ 48.47, rel. 15, hkl 2 0 0; 2θ 81.51, rel. 13, hkl 1 1 3; 2θ 32.95, rel. 13, hkl 1 0 1; 2θ 82.56, rel. 13, hkl 1 3 1; 2θ 85.04, rel. 12, hkl 3 1 1; 2θ 87.63, rel. 11, hkl 2 2 2; 2θ 67.77, rel. 11, hkl 0 2 2; 2θ 69.10, rel. 10, hkl 2 0 2

Atomic structure:
Cell: 3.7563 3.8827 3.9397 Å, 90.00 90.00 90.00°
Space group Pmmm (No. 47)
Unique sites:
Ta  0.0000  0.0000  0.0000 (multiplicity 1)
Fe  0.0000  0.5000  0.5000 (multiplicity 1)
Ir  0.5000  0.0000  0.5000 (multiplicity 1)
Ru  0.5000  0.5000  0.0000 (multiplicity 1)



Record 6
Structure and simulated PXRD pattern of FeIr4S2 (DFT lattice parameters and positions (PBE); Cu Kα X-rays).

Peak list (12 most intense, 2θ = 10–90°, most intense first)
2θ 32.21, rel. 100, hkl 1 1 2; 2θ 40.99, rel. 47, hkl 2 0 0; 2θ 28.98, rel. 31, hkl 0 0 4; 2θ 50.98, rel. 27, hkl 2 0 4; 2θ 69.15, rel. 23, hkl 3 1 2; 2θ 42.01, rel. 22, hkl 1 0 5; 2θ 60.13, rel. 17, hkl 0 0 8; 2θ 59.35, rel. 16, hkl 2 2 0; 2θ 53.44, rel. 13, hkl 1 1 6; 2θ 67.39, rel. 12, hkl 2 2 4; 2θ 75.32, rel. 8, hkl 2 0 8; 2θ 89.54, rel. 8, hkl 2 2 8

Atomic structure:
Cell: 4.4040 4.4040 12.3244 Å, 90.00 90.00 90.00°
Space group I4/mmm (No. 139)
Unique sites:
Fe  0.0000  0.0000  0.0000 (multiplicity 2)
Ir  0.0000  0.0000  0.2177 (multiplicity 4)
Ir  0.0000  0.5000  0.0000 (multiplicity 4)
S  0.0000  0.0000  0.3902 (multiplicity 4)



Record 7
Structure and simulated PXRD pattern of Sc4FeIr2 (DFT lattice parameters and positions (PBE); Cu Kα X-rays).

Peak list (12 most intense, 2θ = 10–90°, most intense first)
2θ 39.71, rel. 100, hkl 1 1 0; 2θ 24.06, rel. 97, hkl 0 1 2; 2θ 40.21, rel. 96, hkl 0 1 8; 2θ 27.96, rel. 43, hkl 1 0 4; 2θ 47.18, rel. 34, hkl 1 1 6; 2θ 72.40, rel. 32, hkl 1 2 8; 2θ 57.79, rel. 32, hkl 2 0 8; 2θ 24.45, rel. 32, hkl 0 0 6; 2θ 46.97, rel. 17, hkl 2 0 2; 2θ 72.07, rel. 16, hkl 3 0 0; 2θ 47.62, rel. 15, hkl 1 0 10; 2θ 73.40, rel. 15, hkl 1 0 16

Atomic structure:
Cell: 4.5396 4.5396 21.8485 Å, 90.00 90.00 120.00°
Space group R-3m (No. 166, hexagonal axes)
Unique sites:
Sc  0.0000  0.0000  0.1229 (multiplicity 6)
Sc  0.0000  0.0000  0.3742 (multiplicity 6)
Fe  0.0000  0.0000  0.5000 (multiplicity 3)
Ir  0.0000  0.0000  0.2478 (multiplicity 6)



Record 8
Structure and simulated PXRD pattern of FeIrSe (DFT lattice parameters and positions (PBE); Cu Kα X-rays).

Peak list (10 most intense, 2θ = 10–90°, most intense first)
2θ 43.03, rel. 100, hkl 2 2 0; 2θ 25.96, rel. 86, hkl 1 1 1; 2θ 50.94, rel. 42, hkl 3 1 1; 2θ 78.87, rel. 33, hkl 4 2 2; 2θ 68.83, rel. 17, hkl 3 3 1; 2θ 62.48, rel. 16, hkl 4 0 0; 2θ 84.71, rel. 13, hkl 5 1 1; 2θ 30.06, rel. 3, hkl 2 0 0; 2θ 70.88, rel. 1, hkl 4 2 0; 2θ 53.38, rel. 1, hkl 2 2 2

Atomic structure:
Cell: 5.9458 5.9458 5.9458 Å, 90.00 90.00 90.00°
Space group F-43m (No. 216)
Unique sites:
Fe  0.0000  0.0000  0.0000 (multiplicity 4)
Ir  0.2500  0.2500  0.2500 (multiplicity 4)
Se  0.0000  0.0000  0.5000 (multiplicity 4)



Record 9
Structure and simulated PXRD pattern of Fe3Si4Ir (DFT lattice parameters and positions (PBE); Cu Kα X-rays).

Peak list (12 most intense, 2θ = 10–90°, most intense first)
2θ 44.47, rel. 100, hkl 1 1 3; 2θ 27.69, rel. 60, hkl 0 1 2; 2θ 48.98, rel. 54, hkl 3 0 0; 2θ 19.49, rel. 34, hkl 1 0 1; 2θ 78.58, rel. 30, hkl 4 1 0; 2θ 34.10, rel. 30, hkl 0 2 1; 2θ 68.29, rel. 16, hkl 2 2 3; 2θ 61.02, rel. 13, hkl 0 3 3; 2θ 75.21, rel. 12, hkl 3 2 1; 2θ 64.71, rel. 11, hkl 3 1 2; 2θ 39.57, rel. 10, hkl 2 0 2; 2θ 88.50, rel. 8, hkl 5 -1 3

Atomic structure:
Cell: 6.4404 6.4404 7.8944 Å, 90.00 90.00 120.00°
Space group R3 (No. 146, hexagonal axes)
Unique sites:
Fe  0.0936  0.4098  0.0000 (multiplicity 9)
Si  0.0000  0.0000  0.1222 (multiplicity 3)
Si  0.0347  0.7710  0.5608 (multiplicity 9)
Ir  0.0000  0.0000  0.8179 (multiplicity 3)



Record 10
Structure and simulated PXRD pattern of FeSiIr2 (DFT lattice parameters and positions (PBE); Cu Kα X-rays).

Peak list (12 most intense, 2θ = 10–90°, most intense first)
2θ 42.78, rel. 100, hkl 1 1 1; 2θ 45.55, rel. 93, hkl 3 1 -1; 2θ 34.19, rel. 61, hkl 1 1 0; 2θ 23.91, rel. 57, hkl 2 0 -1; 2θ 40.91, rel. 51, hkl 2 0 -2; 2θ 42.38, rel. 49, hkl 4 0 0; 2θ 35.19, rel. 47, hkl 2 0 1; 2θ 39.95, rel. 29, hkl 4 0 -1; 2θ 53.14, rel. 25, hkl 1 1 -2; 2θ 64.20, rel. 22, hkl 5 1 0; 2θ 43.60, rel. 22, hkl 0 0 2; 2θ 21.40, rel. 21, hkl 0 0 1

Atomic structure:
Cell: 9.1476 2.7564 4.4515 Å, 90.00 111.16 90.00°
Space group Cm (No. 8)
Unique sites:
Fe  0.0000  0.0000  0.0000 (multiplicity 2)
Si  0.2141  0.5000  0.3363 (multiplicity 2)
Ir  0.2397  0.0000  0.8337 (multiplicity 2)
Ir  0.4539  0.0000  0.4718 (multiplicity 2)



Record 11
Structure and simulated PXRD pattern of SmFeIr (DFT lattice parameters and positions (PBE); Cu Kα X-rays).

Peak list (12 most intense, 2θ = 10–90°, most intense first)
2θ 40.30, rel. 100, hkl 1 1 4; 2θ 38.94, rel. 96, hkl 1 0 5; 2θ 30.68, rel. 95, hkl 1 1 0; 2θ 43.94, rel. 72, hkl 2 0 0; 2θ 60.14, rel. 55, hkl 2 1 5; 2θ 80.97, rel. 35, hkl 2 1 9; 2θ 64.10, rel. 33, hkl 1 0 9; 2θ 22.49, rel. 29, hkl 1 0 1; 2θ 25.50, rel. 29, hkl 0 0 4; 2θ 78.30, rel. 28, hkl 3 1 4; 2θ 63.88, rel. 24, hkl 2 2 0; 2θ 33.31, rel. 20, hkl 1 1 2

Atomic structure:
Cell: 4.1216 4.1216 13.9711 Å, 90.00 90.00 90.00°
Space group I4/mmm (No. 139)
Unique sites:
Sm  0.0000  0.0000  0.1707 (multiplicity 4)
Fe  0.0000  0.5000  0.0000 (multiplicity 4)
Ir  0.0000  0.0000  0.3918 (multiplicity 4)



Record 12
Structure and simulated PXRD pattern of FeTc2Ir (DFT lattice parameters and positions (PBE); Cu Kα X-rays).

Peak list (12 most intense, 2θ = 10–90°, most intense first)
2θ 40.99, rel. 100, hkl 1 1 0; 2θ 47.75, rel. 32, hkl 1 0 2; 2θ 69.70, rel. 25, hkl 1 2 2; 2θ 47.59, rel. 16, hkl 0 2 0; 2θ 84.04, rel. 12, hkl 1 3 0; 2θ 84.37, rel. 12, hkl 2 1 2; 2θ 84.20, rel. 12, hkl 1 1 4; 2θ 16.43, rel. 10, hkl 0 0 1; 2θ 23.27, rel. 9, hkl 0 1 0; 2θ 28.62, rel. 7, hkl 0 1 1; 2θ 89.01, rel. 5, hkl 2 2 0; 2θ 88.78, rel. 5, hkl 0 2 4

Atomic structure:
Cell: 2.6895 3.8219 5.3960 Å, 90.00 90.00 90.00°
Space group Pmm2 (No. 25)
Unique sites:
Fe  0.0000  0.0000  0.0000 (multiplicity 1)
Tc  0.0000  0.0000  0.4988 (multiplicity 1)
Tc  0.5000  0.5000  0.7585 (multiplicity 1)
Ir  0.5000  0.5000  0.2426 (multiplicity 1)